Entry 1:
This entry pairs a crystal structure of Nd4GeSe2S with its computed powder diffractogram. Radiation: CuKα. Structure: a cell relaxed with PBE.

Lattice parameters (Å, degrees): 8.4437 8.4437 8.4437 120.06 119.94 90.01
Sites, in units of the cell vectors:
1 Nd 0.2541 0.2449 0.0092
2 Nd 0.2537 0.2461 0.4925
3 Nd 0.2537 0.7612 0.0075
4 Nd 0.2644 0.7551 0.5092
5 Nd 0.7356 0.2449 0.4908
6 Nd 0.7463 0.2388 0.9925
7 Nd 0.7463 0.7539 0.5075
8 Nd 0.7459 0.7551 0.9908
9 Ge 0.0000 0.0000 0.0000
10 Ge 0.5000 0.0000 0.5000
11 Se 0.0000 0.0000 0.5000
12 Se 0.0000 0.5000 0.0000
13 Se 0.0000 0.5000 0.5000
14 Se 0.5000 0.5000 0.0000
15 S 0.5000 0.0000 0.0000
16 S 0.5000 0.5000 0.5000

Top 6 peaks for 10° ≤ 2θ ≤ 80°, by angle:
- d 3.447, 25.85 deg, intensity 25
- d 2.985, 29.93 deg, intensity 100
- d 2.111, 42.84 deg, intensity 74
- d 1.724, 53.14 deg, intensity 26
- d 1.335, 70.53 deg, intensity 27
- d 1.219, 78.45 deg, intensity 16

=====

Entry 2:
This entry pairs a crystal structure of Nd2GeSb with its computed powder diffractogram. Radiation: CuKα. Structure: a cell relaxed with PBE.

Lattice parameters (Å, degrees): 4.5493 24.0725 4.2785 90.00 90.00 90.00
Sites, in units of the cell vectors:
1 Nd 0.0000 0.0610 0.2500
2 Nd 0.0000 0.3202 0.2500
3 Nd 0.0000 0.6798 0.7500
4 Nd 0.0000 0.9390 0.7500
5 Nd 0.5000 0.1798 0.7500
6 Nd 0.5000 0.4390 0.7500
7 Nd 0.5000 0.5610 0.2500
8 Nd 0.5000 0.8202 0.2500
9 Ge 0.0000 0.4602 0.2500
10 Ge 0.0000 0.5398 0.7500
11 Ge 0.5000 0.0398 0.7500
12 Ge 0.5000 0.9602 0.2500
13 Sb 0.0000 0.1888 0.2500
14 Sb 0.0000 0.8112 0.7500
15 Sb 0.5000 0.3112 0.7500
16 Sb 0.5000 0.6888 0.2500

Top 6 peaks for 10° ≤ 2θ ≤ 80°, by angle:
- d 3.091, 28.89 deg, intensity 100
- d 3.009, 29.69 deg, intensity 43
- d 2.309, 39.00 deg, intensity 69
- d 2.275, 39.62 deg, intensity 25
- d 1.815, 50.28 deg, intensity 22
- d 1.427, 65.41 deg, intensity 22

=====

Entry 3:
This entry pairs a crystal structure of NdScGe2 with its computed powder diffractogram. Radiation: CuKα. Structure: a cell relaxed with PBE.

Lattice parameters (Å, degrees): 4.3427 12.5105 6.5672 90.00 90.00 90.00
Sites, in units of the cell vectors:
1 Nd 0.0000 0.0529 0.2500
2 Nd 0.0000 0.9471 0.7500
3 Nd 0.5000 0.4471 0.7500
4 Nd 0.5000 0.5529 0.2500
5 Sc 0.0000 0.2211 0.7500
6 Sc 0.0000 0.7789 0.2500
7 Sc 0.5000 0.2789 0.2500
8 Sc 0.5000 0.7211 0.7500
9 Ge 0.0000 0.3850 0.0524
10 Ge 0.0000 0.3850 0.4476
11 Ge 0.0000 0.6150 0.5524
12 Ge 0.0000 0.6150 0.9476
13 Ge 0.5000 0.1150 0.5524
14 Ge 0.5000 0.1150 0.9476
15 Ge 0.5000 0.8850 0.0524
16 Ge 0.5000 0.8850 0.4476

Top 6 peaks for 10° ≤ 2θ ≤ 80°, by angle:
- d 6.255, 14.16 deg, intensity 32
- d 3.008, 29.70 deg, intensity 28
- d 2.824, 31.69 deg, intensity 30
- d 2.735, 32.75 deg, intensity 87
- d 2.564, 35.00 deg, intensity 100
- d 2.170, 41.61 deg, intensity 46